HoErSiGeOs: calculated X-ray powder pattern (Cu Kα, 1.54184 Å), based on a structure optimized by DFT (GGA-PBE).
Kinematic intensities with the Lorentz-polarization factor, no thermal factor.

Crystal structure
```
data_HoErSiGeOs
_symmetry_space_group_name_H-M 'C 1 2/m 1'
_symmetry_Int_Tables_number 12
_symmetry_space_group_name_Hall '-C 2y'
_cell_length_a 10.634
_cell_length_b 4.214
_cell_length_c 10.058
_cell_angle_alpha 90.00
_cell_angle_beta 118.37
_cell_angle_gamma 90.00
loop_
_atom_site_label
_atom_site_type_symbol
_atom_site_fract_x
_atom_site_fract_y
_atom_site_fract_z
_atom_site_occupancy
Ho1 Ho 0.007 0.000 0.174 1
Er1 Er 0.185 0.000 0.616 1
Si1 Si 0.143 0.500 0.060 1
Ge1 Ge 0.013 0.500 0.375 1
Os1 Os 0.233 0.500 0.875 1
```

The 10 most intense peaks (2θ from 10° to 80°), by angle:
(hkl), 2θ (°), I_rel
1 1 -2, 27.62, 30
3 1 -1, 33.21, 17
1 1 2, 33.73, 100
4 0 -1, 34.70, 17
3 1 -3, 37.15, 49
0 0 4, 40.75, 36
3 1 1, 40.99, 30
0 2 0, 42.92, 34
0 2 4, 60.67, 22
7 1 -3, 65.31, 17